Record 1
For GaSnC, DFT lattice parameters and positions (PBE) gives the computed powder diffraction line list in this record (copper Kα).
Neutral-atom scattering factors, no anomalous dispersion.

The 10 most intense peaks (10 to 90 degrees two-theta), by angle:
- hkl 1 0 0, 15.26 deg, d 5.805, I 17
- hkl 0 1 0, 28.19 deg, d 3.165, I 100
- hkl 0 0 2, 28.62 deg, d 3.119, I 42
- hkl 2 0 0, 30.81 deg, d 2.902, I 42
- hkl 2 0 -2, 35.42 deg, d 2.534, I 38
- hkl 1 0 2, 36.54 deg, d 2.459, I 30
- hkl 0 1 2, 40.62 deg, d 2.221, I 24
- hkl 2 1 0, 42.26 deg, d 2.139, I 37
- hkl 2 1 -2, 45.88 deg, d 1.978, I 41
- hkl 1 1 2, 46.79 deg, d 1.942, I 33

Structure:
Cell lengths 6.081, 3.164, 6.534 Å; angles 90.00, 107.33, 90.00 degrees
Fractional coordinates of all 6 atoms:
1 Ga 0.174 0.000 0.425
2 Ga 0.826 0.000 0.575
3 Sn 0.224 0.000 0.939
4 Sn 0.776 0.000 0.061
5 C 0.388 0.500 0.477
6 C 0.612 0.500 0.523

Record 2
For Ta4Ga2C, DFT lattice parameters and positions (PBE) gives the computed powder diffraction line list in this record (copper Kα).
Neutral-atom scattering factors, no anomalous dispersion.

The 10 most intense peaks (10 to 90 degrees two-theta), by angle:
- hkl 1 1 0, 15.06 deg, d 5.884, I 31
- hkl 0 2 1, 34.16 deg, d 2.625, I 54
- hkl 1 2 1, 36.38 deg, d 2.469, I 64
- hkl 2 3 0, 36.58 deg, d 2.456, I 59
- hkl 1 4 0, 38.13 deg, d 2.360, I 99
- hkl 2 1 1, 39.31 deg, d 2.292, I 100
- hkl 1 3 1, 41.81 deg, d 2.161, I 27
- hkl 3 5 1, 67.96 deg, d 1.379, I 26
- hkl 2 3 2, 72.32 deg, d 1.307, I 22
- hkl 1 4 2, 73.30 deg, d 1.291, I 30

Structure:
Cell lengths 7.286, 9.979, 3.086 Å; angles 90.00, 90.00, 90.00 degrees
Fractional coordinates of all 14 atoms:
1 Ta 0.139 0.196 0.000
2 Ta 0.180 0.922 0.500
3 Ta 0.320 0.422 0.500
4 Ta 0.361 0.696 0.000
5 Ta 0.639 0.304 0.000
6 Ta 0.680 0.578 0.500
7 Ta 0.820 0.078 0.500
8 Ta 0.861 0.804 0.000
9 Ga 0.061 0.628 0.500
10 Ga 0.439 0.128 0.500
11 Ga 0.561 0.872 0.500
12 Ga 0.939 0.372 0.500
13 C 0.000 0.000 0.000
14 C 0.500 0.500 0.000